Record 1
The following is a theoretical PXRD pattern of Ba12Tl5In2. It was derived from DFT lattice parameters and positions (GGA-PBE), using Cu Kα.
Neutral-atom scattering factors, no anomalous dispersion.

Largest 10 diffraction maxima, low angle first, 10° ≤ 2θ ≤ 80°:
| two_theta | Rel. int. |
| --- | --- |
| 17.54 | 46 |
| 18.59 | 71 |
| 26.80 | 100 |
| 28.05 | 86 |
| 28.68 | 48 |
| 29.74 | 39 |
| 31.27 | 63 |
| 31.68 | 45 |
| 33.23 | 41 |
| 41.71 | 38 |

Structure:
```
data_Ba12Tl5In2
_space_group_name_H-M_alt 'P 1'
_space_group_IT_number 1
_cell_length_a 10.348
_cell_length_b 10.348
_cell_length_c 11.666
_cell_angle_alpha 95.87
_cell_angle_beta 95.87
_cell_angle_gamma 49.49
loop_
_space_group_symop_operation_xyz
'x,y,z'
loop_
_atom_site_label
_atom_site_fract_x
_atom_site_fract_y
_atom_site_fract_z
Ba1 0.020 0.020 0.287
Ba2 0.066 0.566 0.874
Ba3 0.101 0.600 0.435
Ba4 0.400 0.899 0.565
Ba5 0.434 0.934 0.126
Ba6 0.449 0.449 0.175
Ba7 0.551 0.551 0.825
Ba8 0.566 0.066 0.874
Ba9 0.600 0.101 0.435
Ba10 0.899 0.400 0.565
Ba11 0.934 0.434 0.126
Ba12 0.980 0.980 0.713
Tl1 0.152 0.152 0.869
Tl2 0.209 0.209 0.359
Tl3 0.500 0.500 0.500
Tl4 0.791 0.791 0.641
Tl5 0.848 0.848 0.131
In1 0.174 0.826 0.000
In2 0.826 0.174 0.000
```



Record 2
The following is a theoretical PXRD pattern of LiMg4Au. It was derived from DFT lattice parameters and positions (GGA-PBE), using Cu Kα.
Neutral-atom scattering factors, no anomalous dispersion.

Largest 10 diffraction maxima, low angle first, 10° ≤ 2θ ≤ 80°:
| two_theta | Rel. int. |
| --- | --- |
| 13.21 | 89 |
| 19.29 | 70 |
| 23.45 | 100 |
| 30.54 | 43 |
| 33.06 | 38 |
| 38.56 | 63 |
| 39.16 | 31 |
| 41.50 | 23 |
| 46.15 | 34 |
| 52.16 | 22 |

Structure:
```
data_LiMg4Au
_space_group_name_H-M_alt 'P 1'
_space_group_IT_number 1
_cell_length_a 4.601
_cell_length_b 4.601
_cell_length_c 6.704
_cell_angle_alpha 90.00
_cell_angle_beta 90.00
_cell_angle_gamma 90.00
loop_
_space_group_symop_operation_xyz
'x,y,z'
loop_
_atom_site_label
_atom_site_fract_x
_atom_site_fract_y
_atom_site_fract_z
Li1 0.000 0.000 0.000
Mg1 0.000 0.500 0.264
Mg2 0.000 0.500 0.736
Mg3 0.500 0.000 0.264
Mg4 0.500 0.000 0.736
Au1 0.500 0.500 0.500
```



What did the first record say?
The following is a theoretical PXRD pattern of Ba12Tl5In2. It was derived from DFT lattice parameters and positions (GGA-PBE), using Cu Kα.
Neutral-atom scattering factors, no anomalous dispersion.

Largest 10 diffraction maxima, low angle first, 10° ≤ 2θ ≤ 80°:
| two_theta | Rel. int. |
| --- | --- |
| 17.54 | 46 |
| 18.59 | 71 |
| 26.80 | 100 |
| 28.05 | 86 |
| 28.68 | 48 |
| 29.74 | 39 |
| 31.27 | 63 |
| 31.68 | 45 |
| 33.23 | 41 |
| 41.71 | 38 |

Structure:
```
data_Ba12Tl5In2
_space_group_name_H-M_alt 'P 1'
_space_group_IT_number 1
_cell_length_a 10.348
_cell_length_b 10.348
_cell_length_c 11.666
_cell_angle_alpha 95.87
_cell_angle_beta 95.87
_cell_angle_gamma 49.49
loop_
_space_group_symop_operation_xyz
'x,y,z'
loop_
_atom_site_label
_atom_site_fract_x
_atom_site_fract_y
_atom_site_fract_z
Ba1 0.020 0.020 0.287
Ba2 0.066 0.566 0.874
Ba3 0.101 0.600 0.435
Ba4 0.400 0.899 0.565
Ba5 0.434 0.934 0.126
Ba6 0.449 0.449 0.175
Ba7 0.551 0.551 0.825
Ba8 0.566 0.066 0.874
Ba9 0.600 0.101 0.435
Ba10 0.899 0.400 0.565
Ba11 0.934 0.434 0.126
Ba12 0.980 0.980 0.713
Tl1 0.152 0.152 0.869
Tl2 0.209 0.209 0.359
Tl3 0.500 0.500 0.500
Tl4 0.791 0.791 0.641
Tl5 0.848 0.848 0.131
In1 0.174 0.826 0.000
In2 0.826 0.174 0.000
```